Entry 1:
For CsRbCuCl3, DFT lattice parameters and positions (PBE) gives the computed PXRD pattern in this record (Cu Kα X-rays).

Principal peaks in the range 5° ≤ 2θ ≤ 70°, by angle:
23.01 deg, I = 30
24.63 deg, I = 100
25.44 deg, I = 49
31.47 deg, I = 40
33.55 deg, I = 23
33.64 deg, I = 22
38.45 deg, I = 22
40.89 deg, I = 28

Cell and atoms:
a b c (Å): 8.717 8.717 9.365
angles (deg): 105.40 105.40 38.06
Fractional coordinates of all 12 atoms:
Cs 0.144 0.144 0.071
Cs 0.856 0.856 0.929
Rb 0.142 0.142 0.571
Rb 0.858 0.858 0.429
Cu 0.496 0.496 0.739
Cu 0.504 0.504 0.261
Cl 0.001 0.001 0.261
Cl 0.356 0.356 0.671
Cl 0.364 0.364 0.191
Cl 0.636 0.636 0.809
Cl 0.644 0.644 0.329
Cl 0.999 0.999 0.739

=====

Entry 2:
For CrAgP, DFT lattice parameters and positions (PBE) gives the computed PXRD pattern in this record (Cu Kα X-rays).

Principal peaks in the range 5° ≤ 2θ ≤ 70°, by angle:
27.06 deg, I = 37
32.00 deg, I = 35
35.46 deg, I = 100
37.82 deg, I = 90
44.44 deg, I = 26
45.88 deg, I = 60
51.51 deg, I = 18
60.91 deg, I = 42

Cell and atoms:
a b c (Å): 3.956 3.956 5.955
angles (deg): 90.00 90.00 90.00
Fractional coordinates of all 6 atoms:
Cr 0.250 0.750 0.000
Cr 0.750 0.250 0.000
Ag 0.250 0.250 0.369
Ag 0.750 0.750 0.631
P 0.250 0.250 0.792
P 0.750 0.750 0.208

=====

Entry 3:
For Rb2BiPdCl6, DFT lattice parameters and positions (PBE) gives the computed PXRD pattern in this record (Cu Kα X-rays).

Principal peaks in the range 5° ≤ 2θ ≤ 70°, by angle:
16.65 deg, I = 31
23.67 deg, I = 100
23.74 deg, I = 50
33.67 deg, I = 59
33.93 deg, I = 29
41.61 deg, I = 47
41.77 deg, I = 23
48.56 deg, I = 40

Cell and atoms:
a b c (Å): 7.505 7.505 7.494
angles (deg): 119.75 119.75 90.50
Fractional coordinates of all 10 atoms:
Rb 0.250 0.750 0.000
Rb 0.750 0.250 0.000
Bi 0.499 0.499 0.500
Pd 0.999 0.999 0.500
Cl 0.241 0.241 0.500
Cl 0.243 0.243 0.986
Cl 0.243 0.755 0.500
Cl 0.755 0.243 0.500
Cl 0.755 0.755 0.014
Cl 0.758 0.758 0.501